# Er3Ga2Pd
Theoretical PXRD pattern, Cu Kα (weighted mean of Kα1 and Kα2). Input: a crystal structure in Alexandria, relaxed with PBE.

Cell and atoms:
a = 3.5290 Å, b = 3.5290 Å, c = 10.5224 Å
α = 90.00°, β = 90.00°, γ = 90.00°
Space group P4/mmm (No. 123)
One atom of each set of equivalent atoms:
Er  0.0000  0.0000  0.0000 (multiplicity 1)
Er  0.0000  0.0000  0.3396 (multiplicity 2)
Ga  0.5000  0.5000  0.1687 (multiplicity 2)
Pd  0.5000  0.5000  0.5000 (multiplicity 1)

Largest 10 diffraction maxima, most intense first, 2θ from 10° to 80°:
36.1 deg, rel. 100.0
36.0 deg, rel. 50.8
64.8 deg, rel. 36.1
51.8 deg, rel. 17.9
65.0 deg, rel. 17.5
25.2 deg, rel. 12.8
76.6 deg, rel. 10.9
52.2 deg, rel. 8.5
25.4 deg, rel. 6.2
44.6 deg, rel. 5.7


# HfTe3Pd
Theoretical PXRD pattern, Cu Kα (weighted mean of Kα1 and Kα2). Input: a crystal structure in Alexandria, relaxed with PBE.

Cell and atoms:
a = 3.8478 Å, b = 24.2793 Å, c = 6.6956 Å
α = 90.00°, β = 90.00°, γ = 90.00°
Space group Ama2 (No. 40)
One atom of each set of equivalent atoms:
Hf  0.2500  0.1676  0.0000 (multiplicity 4)
Te  0.2500  0.0630  0.1970 (multiplicity 4)
Te  0.2500  0.2651  0.7137 (multiplicity 4)
Te  0.2500  0.3729  0.2247 (multiplicity 4)
Pd  0.2500  0.3709  0.8212 (multiplicity 4)

Largest 10 diffraction maxima, most intense first, 2θ from 10° to 80°:
29.0 deg, rel. 100.0
14.6 deg, rel. 58.3
44.1 deg, rel. 57.9
36.3 deg, rel. 55.1
13.7 deg, rel. 54.7
48.5 deg, rel. 54.5
38.6 deg, rel. 52.0
27.0 deg, rel. 51.4
34.8 deg, rel. 38.9
47.2 deg, rel. 32.4


# Ba4SrCa15
Theoretical PXRD pattern, Cu Kα (weighted mean of Kα1 and Kα2). Input: a crystal structure in Alexandria, relaxed with PBE.

Cell and atoms:
a = 5.7300 Å, b = 5.7300 Å, c = 28.5176 Å
α = 90.00°, β = 90.00°, γ = 90.00°
Space group P4/mmm (No. 123)
One atom of each set of equivalent atoms:
Ba  0.0000  0.0000  0.1009 (multiplicity 2)
Ba  0.0000  0.0000  0.3027 (multiplicity 2)
Sr  0.0000  0.0000  0.5000 (multiplicity 1)
Ca  0.0000  0.5000  0.0000 (multiplicity 2)
Ca  0.0000  0.5000  0.2018 (multiplicity 4)
Ca  0.0000  0.5000  0.4032 (multiplicity 4)
Ca  0.5000  0.5000  0.1010 (multiplicity 2)
Ca  0.5000  0.5000  0.3025 (multiplicity 2)
Ca  0.5000  0.5000  0.5000 (multiplicity 1)

Largest 10 diffraction maxima, most intense first, 2θ from 10° to 80°:
27.0 deg, rel. 100.0
31.2 deg, rel. 34.1
53.0 deg, rel. 28.1
15.5 deg, rel. 26.8
22.0 deg, rel. 24.4
44.8 deg, rel. 23.4
31.4 deg, rel. 16.6
53.2 deg, rel. 13.5
44.7 deg, rel. 12.0
55.7 deg, rel. 11.9


# Zr5GaB2
Theoretical PXRD pattern, Cu Kα (weighted mean of Kα1 and Kα2). Input: a crystal structure in Alexandria, relaxed with PBE.

Cell and atoms:
a = 6.6438 Å, b = 6.6438 Å, c = 12.7025 Å
α = 90.00°, β = 90.00°, γ = 90.00°
Space group I4/mcm (No. 140)
One atom of each set of equivalent atoms:
Zr  0.0000  0.0000  0.0000 (multiplicity 4)
Zr  0.1770  0.3230  0.1321 (multiplicity 16)
Ga  0.0000  0.0000  0.2500 (multiplicity 4)
B  0.1008  0.3992  0.5000 (multiplicity 8)

Largest 10 diffraction maxima, most intense first, 2θ from 10° to 80°:
39.2 deg, rel. 100.0
37.0 deg, rel. 73.6
30.9 deg, rel. 71.7
43.1 deg, rel. 54.4
34.1 deg, rel. 49.7
66.6 deg, rel. 34.6
38.3 deg, rel. 32.2
79.5 deg, rel. 26.8
61.6 deg, rel. 22.2
57.7 deg, rel. 19.9


# CaPmO
Theoretical PXRD pattern, Cu Kα (weighted mean of Kα1 and Kα2). Input: a crystal structure in Alexandria, relaxed with PBE.

Cell and atoms:
a = 4.8780 Å, b = 4.9250 Å, c = 11.0422 Å
α = 90.00°, β = 90.00°, γ = 90.00°
Space group Imma (No. 74)
One atom of each set of equivalent atoms:
Ca  0.0000  0.2500  0.1044 (multiplicity 4)
Pm  0.0000  0.2500  0.6397 (multiplicity 4)
O  0.0000  0.2500  0.8747 (multiplicity 4)

Largest 10 diffraction maxima, most intense first, 2θ from 10° to 80°:
30.4 deg, rel. 100.0
19.7 deg, rel. 43.0
32.4 deg, rel. 23.2
36.5 deg, rel. 19.5
36.9 deg, rel. 19.0
49.6 deg, rel. 13.9
49.9 deg, rel. 13.2
62.5 deg, rel. 13.1
63.4 deg, rel. 12.9
52.8 deg, rel. 12.9


# Ba3GeAs4
Theoretical PXRD pattern, Cu Kα (weighted mean of Kα1 and Kα2). Input: a crystal structure in Alexandria, relaxed with PBE.

Cell and atoms:
a = 8.8045 Å, b = 11.1730 Å, c = 10.2690 Å
α = 90.00°, β = 90.00°, γ = 90.00°
Space group Pnma (No. 62)
One atom of each set of equivalent atoms:
Ba  0.0370  0.0495  0.1874 (multiplicity 8)
Ba  0.1585  0.7500  0.4104 (multiplicity 4)
Ge  0.2303  0.2500  0.4480 (multiplicity 4)
As  0.0432  0.7500  0.0874 (multiplicity 4)
As  0.1304  0.0445  0.5310 (multiplicity 8)
As  0.2048  0.7500  0.7191 (multiplicity 4)

Largest 10 diffraction maxima, most intense first, 2θ from 10° to 80°:
25.8 deg, rel. 100.0
31.5 deg, rel. 97.3
31.7 deg, rel. 92.6
32.3 deg, rel. 89.8
28.0 deg, rel. 85.2
32.7 deg, rel. 83.0
37.0 deg, rel. 82.1
32.0 deg, rel. 79.3
27.2 deg, rel. 64.3
25.6 deg, rel. 61.4


# LiTmGa2
Theoretical PXRD pattern, Cu Kα (weighted mean of Kα1 and Kα2). Input: a crystal structure in Alexandria, relaxed with PBE.

Cell and atoms:
a = 7.4007 Å, b = 4.2842 Å, c = 5.4672 Å
α = 90.00°, β = 116.93°, γ = 90.00°
Space group C2/m (No. 12)
One atom of each set of equivalent atoms:
Li  0.0000  0.0000  0.0000 (multiplicity 2)
Tm  0.0000  0.5000  0.5000 (multiplicity 2)
Ga  0.2128  0.5000  0.1384 (multiplicity 4)

Largest 10 diffraction maxima, most intense first, 2θ from 10° to 80°:
24.8 deg, rel. 100.0
34.5 deg, rel. 75.3
39.2 deg, rel. 69.1
42.2 deg, rel. 64.7
59.0 deg, rel. 20.7
73.1 deg, rel. 13.7
75.2 deg, rel. 13.4
55.6 deg, rel. 12.7
72.3 deg, rel. 11.5
69.1 deg, rel. 11.0


# CePm4Dy7
Theoretical PXRD pattern, Cu Kα (weighted mean of Kα1 and Kα2). Input: a crystal structure in Alexandria, relaxed with PBE.

Cell and atoms:
a = 5.9892 Å, b = 6.9491 Å, c = 10.0667 Å
α = 110.15°, β = 90.13°, γ = 90.06°
Space group P-1 (No. 2)
One atom of each set of equivalent atoms:
Ce  0.0000  0.0000  0.0000 (multiplicity 1)
Pm  0.2522  0.1390  0.7291 (multiplicity 2)
Pm  0.2523  0.5893  0.7291 (multiplicity 2)
Dy  0.2471  0.7164  0.4319 (multiplicity 2)
Dy  0.2499  0.5406  0.0809 (multiplicity 2)
Dy  0.2507  0.1863  0.3714 (multiplicity 2)
Dy  0.5000  0.0000  0.0000 (multiplicity 1)

Largest 10 diffraction maxima, most intense first, 2θ from 10° to 80°:
31.2 deg, rel. 100.0
32.1 deg, rel. 76.7
32.0 deg, rel. 58.9
30.8 deg, rel. 41.6
29.8 deg, rel. 38.0
32.9 deg, rel. 28.2
53.8 deg, rel. 21.6
63.0 deg, rel. 19.0
25.6 deg, rel. 17.5
35.7 deg, rel. 16.9


# BeNbSb
Theoretical PXRD pattern, Cu Kα (weighted mean of Kα1 and Kα2). Input: a crystal structure in Alexandria, relaxed with PBE.

Cell and atoms:
a = 3.7793 Å, b = 4.0502 Å, c = 7.2097 Å
α = 73.92°, β = 89.87°, γ = 89.96°
Space group P-1 (No. 2)
One atom of each set of equivalent atoms:
Be  0.2502  0.0287  0.4460 (multiplicity 2)
Nb  0.2499  0.8295  0.8427 (multiplicity 2)
Sb  0.2495  0.6250  0.2499 (multiplicity 2)

Largest 10 diffraction maxima, most intense first, 2θ from 10° to 80°:
33.1 deg, rel. 100.0
25.7 deg, rel. 39.8
44.8 deg, rel. 18.4
46.3 deg, rel. 18.4
46.5 deg, rel. 18.0
12.8 deg, rel. 17.9
48.2 deg, rel. 14.8
35.1 deg, rel. 12.5
46.1 deg, rel. 12.1
39.5 deg, rel. 11.9


# CsNaSn
Theoretical PXRD pattern, Cu Kα (weighted mean of Kα1 and Kα2). Input: a crystal structure in Alexandria, relaxed with PBE.

Cell and atoms:
a = 4.6726 Å, b = 7.5462 Å, c = 8.0744 Å
α = 74.65°, β = 89.99°, γ = 89.94°
Space group P1 (No. 1)
One atom of each set of equivalent atoms:
Cs  0.0000  0.0000  0.0000 (multiplicity 1)
Cs  0.4987  0.0654  0.5345 (multiplicity 1)
Na  0.4986  0.5848  0.4233 (multiplicity 1)
Na  0.9985  0.4798  0.1121 (multiplicity 1)
Sn  0.4995  0.4204  0.8489 (multiplicity 1)
Sn  0.9993  0.6457  0.6858 (multiplicity 1)

Largest 10 diffraction maxima, most intense first, 2θ from 10° to 80°:
26.8 deg, rel. 100.0
11.4 deg, rel. 75.8
22.9 deg, rel. 75.0
30.9 deg, rel. 72.5
39.7 deg, rel. 38.7
29.9 deg, rel. 31.7
24.5 deg, rel. 30.1
38.5 deg, rel. 27.9
22.6 deg, rel. 27.5
22.2 deg, rel. 25.6